# Sm2DyB2Pd2N3
Computed powder XRD pattern, Cu Kα, 1.54184 Å. Input: a cell relaxed with PBE.

Top 12 peaks for 10 to 90 degrees two-theta, in order of rising 2θ:
| 2theta | I_rel |
| --- | --- |
| 27.52 | 97 |
| 32.74 | 100 |
| 34.40 | 27 |
| 35.20 | 67 |
| 35.55 | 90 |
| 38.80 | 58 |
| 43.76 | 33 |
| 49.45 | 57 |
| 57.36 | 36 |
| 57.52 | 27 |
| 60.58 | 36 |
| 62.14 | 50 |

Structure:
```
Sm2DyB2Pd2N3
1.0
-1.8432 1.8432 10.1981
1.8432 -1.8432 10.1981
1.8432 1.8432 -10.1981
Sm Dy B Pd N
2 1 2 2 3
Cartesian
0.0000 0.0000 2.4345
0.0000 0.0000 17.9617
0.0000 0.0000 10.1981
0.0000 0.0000 6.4327
0.0000 0.0000 13.9635
1.8432 0.0000 5.0991
0.0000 1.8432 5.0991
0.0000 0.0000 0.0000
0.0000 0.0000 7.8636
0.0000 0.0000 12.5327
```